Starting from DFT lattice parameters and positions (GGA-PBE), the XRD peak list of AcLaSbS was calculated for Cu Kα X-rays.

Top 12 peaks for 5° ≤ 2θ ≤ 70°, low angle first:
| 2theta | d/Å | I/Imax | hkl |
| --- | --- | --- | --- |
| 24.24 | 3.672 | 100.0 | 1 0 2 |
| 24.81 | 3.588 | 15.0 | 1 1 0 |
| 26.21 | 3.400 | 37.2 | 1 1 1 |
| 30.04 | 2.975 | 58.0 | 1 1 2 |
| 30.76 | 2.907 | 17.2 | 1 0 3 |
| 35.38 | 2.537 | 55.8 | 2 0 0 |
| 38.20 | 2.356 | 12.8 | 1 0 4 |
| 42.30 | 2.137 | 35.0 | 1 1 4 |
| 43.35 | 2.087 | 43.7 | 2 1 2 |
| 50.90 | 1.794 | 19.8 | 2 2 0 |
| 60.24 | 1.536 | 15.5 | 3 1 2 |
| 68.26 | 1.374 | 17.1 | 3 1 4 |

Structural model:
```
data_AcLaSbS
_cell_length_a 5.074
_cell_length_b 5.074
_cell_length_c 10.639
_cell_angle_alpha 90.00
_cell_angle_beta 90.00
_cell_angle_gamma 90.00
_symmetry_space_group_name_H-M 'P 1'
_symmetry_Int_Tables_number 1
loop_
_symmetry_equiv_pos_as_xyz
'x,y,z'
loop_
_atom_site_label
_atom_site_type_symbol
_atom_site_fract_x
_atom_site_fract_y
_atom_site_fract_z
Ac1 Ac 0.250 0.250 0.138
Ac2 Ac 0.750 0.750 0.862
La1 La 0.250 0.750 0.500
La2 La 0.750 0.250 0.500
Sb1 Sb 0.250 0.250 0.691
Sb2 Sb 0.750 0.750 0.309
S1 S 0.250 0.750 0.000
S2 S 0.750 0.250 0.000
```